Calculated X-ray diffraction stick pattern of TlCuH2W for Cu Kα (λ = 1.5418 Å), from a structure optimized by DFT (PBE).

Structure:
```
data_TlCuH2W
_chemical_formula_sum 'Tl1 Cu1 H2 W1'
_symmetry_space_group_name_H-M 'P 4/m m m'
_symmetry_Int_Tables_number 123
_symmetry_space_group_name_Hall '-P 4 2'
_cell_length_a 3.832
_cell_length_b 3.832
_cell_length_c 5.014
_cell_angle_alpha 90.00
_cell_angle_beta 90.00
_cell_angle_gamma 90.00
loop_
_atom_site_label
_atom_site_type_symbol
_atom_site_fract_x
_atom_site_fract_y
_atom_site_fract_z
Tl1 Tl 0.000 0.000 0.000
Cu1 Cu 0.500 0.500 0.500
H1 H 0.000 0.500 0.500
W1 W 0.500 0.500 0.000
```

Top 12 peaks for 2θ from 15° to 90°, in order of rising 2θ:
h k l, 2theta, d/Å, intensity
0 0 1, 17.69, 5.014, 1000
1 1 0, 33.06, 2.710, 935
0 0 2, 35.82, 2.507, 387
1 1 1, 37.74, 2.384, 647
2 0 0, 47.45, 1.916, 351
1 1 2, 49.54, 1.840, 608
2 0 1, 51.03, 1.790, 272
2 0 2, 60.85, 1.522, 333
3 1 0, 79.01, 1.212, 155
2 2 2, 80.60, 1.192, 150
3 1 1, 81.76, 1.178, 149
3 1 2, 89.92, 1.091, 235

Calculated X-ray diffraction stick pattern of La2SmScSe6 for Cu Kα (λ = 1.5418 Å), from a structure optimized by DFT (PBE).

Structure:
```
data_La2SmScSe6
_chemical_formula_sum 'La4 Sm2 Sc2 Se12'
_symmetry_space_group_name_H-M 'P 1 21/c 1'
_symmetry_Int_Tables_number 14
_cell_length_a 6.979
_cell_length_b 7.716
_cell_length_c 12.366
_cell_angle_alpha 90.00
_cell_angle_beta 123.01
_cell_angle_gamma 90.00
loop_
_symmetry_equiv_pos_as_xyz
'x,y,z'
'-x,-y,-z'
'-x,y+1/2,-z+1/2'
'x,-y+1/2,z+1/2'
loop_
_atom_site_label
_atom_site_type_symbol
_atom_site_fract_x
_atom_site_fract_y
_atom_site_fract_z
La1 La 0.204 0.103 0.246
Sm1 Sm 0.500 0.000 0.000
Sc1 Sc 0.000 0.000 0.500
Se1 Se 0.096 0.192 0.931
Se2 Se 0.247 0.678 0.931
Se3 Se 0.381 0.046 0.739
```

Top 12 peaks for 2θ from 15° to 90°, in order of rising 2θ:
h k l, 2theta, d/Å, intensity
1 1 1, 24.08, 3.695, 619
1 1 -3, 24.51, 3.632, 663
1 2 0, 27.69, 3.221, 489
1 0 -4, 29.10, 3.069, 593
2 1 -1, 29.21, 3.058, 1000
1 1 2, 30.86, 2.898, 477
1 1 -4, 31.41, 2.848, 762
0 0 4, 34.63, 2.590, 985
0 2 3, 34.85, 2.575, 543
1 3 -1, 37.26, 2.413, 670
3 1 -1, 43.89, 2.063, 526
3 1 -5, 44.64, 2.030, 624

Calculated X-ray diffraction stick pattern of Rb5SnCl8 for Cu Kα (λ = 1.5418 Å), from a structure optimized by DFT (PBE).

Structure:
```
data_Rb5SnCl8
_chemical_formula_sum 'Rb10 Sn2 Cl16'
_symmetry_space_group_name_H-M 'I -4'
_symmetry_Int_Tables_number 82
_cell_length_a 9.695
_cell_length_b 9.695
_cell_length_c 10.036
_cell_angle_alpha 90.00
_cell_angle_beta 90.00
_cell_angle_gamma 90.00
loop_
_symmetry_equiv_pos_as_xyz
'x,y,z'
'y,-x,-z'
'-x,-y,z'
'-y,x,-z'
'x+1/2,y+1/2,z+1/2'
'y+1/2,-x+1/2,-z+1/2'
'-x+1/2,-y+1/2,z+1/2'
'-y+1/2,x+1/2,-z+1/2'
loop_
_atom_site_label
_atom_site_type_symbol
_atom_site_fract_x
_atom_site_fract_y
_atom_site_fract_z
Rb1 Rb 0.000 0.000 0.000
Rb2 Rb 0.132 0.732 0.627
Sn1 Sn 0.000 0.500 0.250
Cl1 Cl 0.054 0.759 0.304
Cl2 Cl 0.083 0.676 0.953
```

Top 12 peaks for 2θ from 15° to 90°, in order of rising 2θ:
h k l, 2theta, d/Å, intensity
1 1 2, 21.95, 4.049, 382
1 2 1, 22.34, 3.980, 587
1 0 3, 28.22, 3.163, 579
3 1 0, 29.08, 3.071, 1000
1 2 3, 33.84, 2.649, 366
1 3 2, 34.27, 2.616, 320
2 3 1, 34.53, 2.597, 172
2 0 4, 40.48, 2.228, 202
2 4 0, 41.66, 2.168, 234
2 3 3, 43.16, 2.096, 242
1 4 3, 47.25, 1.924, 172
4 3 1, 47.78, 1.904, 191

Calculated X-ray diffraction stick pattern of Ho2Er2N3 for Cu Kα (λ = 1.5418 Å), from a structure optimized by DFT (PBE).

Structure:
```
data_Ho2Er2N3
_chemical_formula_sum 'Ho4 Er4 N6'
_symmetry_space_group_name_H-M 'C 1 2/m 1'
_symmetry_Int_Tables_number 12
_cell_length_a 11.494
_cell_length_b 3.457
_cell_length_c 6.000
_cell_angle_alpha 90.00
_cell_angle_beta 100.31
_cell_angle_gamma 90.00
loop_
_symmetry_equiv_pos_as_xyz
'x,y,z'
'-x,-y,-z'
'-x,y,-z'
'x,-y,z'
'x+1/2,y+1/2,z'
'-x+1/2,-y+1/2,-z'
'-x+1/2,y+1/2,-z'
'x+1/2,-y+1/2,z'
loop_
_atom_site_label
_atom_site_type_symbol
_atom_site_fract_x
_atom_site_fract_y
_atom_site_fract_z
Ho1 Ho 0.133 0.000 0.365
Er1 Er 0.125 0.500 0.886
N1 N 0.000 0.000 0.000
N2 N 0.248 0.500 0.249
```

Top 12 peaks for 2θ from 15° to 90°, in order of rising 2θ:
h k l, 2theta, d/Å, intensity
4 0 0, 31.62, 2.830, 764
1 1 1, 31.71, 2.822, 779
2 0 2, 36.72, 2.447, 1000
6 0 -2, 52.74, 1.736, 108
0 2 0, 52.94, 1.730, 572
7 1 -1, 62.86, 1.478, 207
4 2 0, 63.01, 1.475, 276
3 1 3, 63.09, 1.474, 167
2 2 2, 66.24, 1.411, 117
6 2 -2, 78.02, 1.225, 67
1 3 1, 86.82, 1.122, 188
3 3 -1, 89.62, 1.094, 154

Calculated X-ray diffraction stick pattern of Pm7GaSe5 for Cu Kα (λ = 1.5418 Å), from a structure optimized by DFT (PBE).

Structure:
```
data_Pm7GaSe5
_chemical_formula_sum 'Pm28 Ga4 Se20'
_symmetry_space_group_name_H-M 'C 1 2/m 1'
_symmetry_Int_Tables_number 12
_cell_length_a 13.817
_cell_length_b 4.135
_cell_length_c 24.906
_cell_angle_alpha 90.00
_cell_angle_beta 90.05
_cell_angle_gamma 90.00
loop_
_symmetry_equiv_pos_as_xyz
'x,y,z'
'-x,-y,-z'
'-x,y,-z'
'x,-y,z'
'x+1/2,y+1/2,z'
'-x+1/2,-y+1/2,-z'
'-x+1/2,y+1/2,-z'
'x+1/2,-y+1/2,z'
loop_
_atom_site_label
_atom_site_type_symbol
_atom_site_fract_x
_atom_site_fract_y
_atom_site_fract_z
Pm1 Pm 0.031 0.000 0.250
Pm2 Pm 0.090 0.500 0.113
Pm3 Pm 0.090 0.500 0.387
Pm4 Pm 0.138 0.000 0.536
Pm5 Pm 0.138 0.000 0.964
Pm6 Pm 0.190 0.500 0.821
Pm7 Pm 0.191 0.500 0.679
Ga1 Ga 0.191 0.500 0.249
Se1 Se 0.000 0.500 0.000
Se2 Se 0.000 0.500 0.500
Se3 Se 0.052 0.000 0.857
Se4 Se 0.053 0.000 0.643
Se5 Se 0.224 0.000 0.072
Se6 Se 0.224 0.000 0.428
```

Top 12 peaks for 2θ from 15° to 90°, in order of rising 2θ:
h k l, 2theta, d/Å, intensity
1 1 -4, 26.67, 3.342, 185
2 0 7, 28.21, 3.163, 808
3 1 1, 29.25, 3.053, 315
3 1 2, 29.92, 2.987, 1000
3 1 -3, 31.00, 2.885, 669
2 0 8, 31.52, 2.838, 400
1 1 -9, 39.73, 2.269, 340
6 0 4, 41.85, 2.159, 184
1 1 -10, 42.89, 2.108, 310
6 0 -5, 43.32, 2.089, 424
0 2 0, 43.79, 2.067, 379
2 2 7, 52.91, 1.730, 281

Calculated X-ray diffraction stick pattern of TiMnFe2 for Cu Kα (λ = 1.5418 Å), from a structure optimized by DFT (PBE).

Structure:
```
data_TiMnFe2
_chemical_formula_sum 'Ti4 Mn4 Fe8'
_symmetry_space_group_name_H-M 'F m -3 m'
_symmetry_Int_Tables_number 225
_symmetry_space_group_name_Hall '-F 4 2 3'
_cell_length_a 5.799
_cell_length_b 5.799
_cell_length_c 5.799
_cell_angle_alpha 90.00
_cell_angle_beta 90.00
_cell_angle_gamma 90.00
loop_
_atom_site_label
_atom_site_type_symbol
_atom_site_fract_x
_atom_site_fract_y
_atom_site_fract_z
Ti1 Ti 0.000 0.000 0.000
Mn1 Mn 0.000 0.000 0.500
Fe1 Fe 0.250 0.250 0.250
```

Top 4 peaks for 2θ from 15° to 90°, in order of rising 2θ:
h k l, 2theta, d/Å, intensity
2 0 0, 30.84, 2.899, 6
2 2 0, 44.18, 2.050, 1000
4 0 0, 64.25, 1.450, 147
4 2 2, 81.28, 1.184, 283

Calculated X-ray diffraction stick pattern of H4Pt3 for Cu Kα (λ = 1.5418 Å), from a structure optimized by DFT (PBE).

Structure:
```
data_H4Pt3
_chemical_formula_sum 'H8 Pt6'
_symmetry_space_group_name_H-M 'C 1 m 1'
_symmetry_Int_Tables_number 8
_cell_length_a 9.923
_cell_length_b 2.884
_cell_length_c 4.981
_cell_angle_alpha 90.00
_cell_angle_beta 98.85
_cell_angle_gamma 90.00
loop_
_symmetry_equiv_pos_as_xyz
'x,y,z'
'x,-y,z'
'x+1/2,y+1/2,z'
'x+1/2,-y+1/2,z'
loop_
_atom_site_label
_atom_site_type_symbol
_atom_site_fract_x
_atom_site_fract_y
_atom_site_fract_z
H1 H 0.000 0.000 0.000
H2 H 0.022 0.500 0.552
H3 H 0.241 0.500 0.311
H4 H 0.390 0.000 0.165
Pt1 Pt 0.088 0.000 0.732
Pt2 Pt 0.322 0.500 0.966
Pt3 Pt 0.323 0.000 0.488
```

Top 12 peaks for 2θ from 15° to 90°, in order of rising 2θ:
h k l, 2theta, d/Å, intensity
0 0 1, 18.06, 4.913, 822
2 0 -1, 23.56, 3.776, 147
1 1 0, 32.36, 2.767, 167
1 1 -1, 36.54, 2.459, 184
4 0 0, 36.66, 2.451, 532
1 1 1, 37.99, 2.368, 1000
2 0 -2, 38.32, 2.349, 484
2 0 2, 43.63, 2.075, 378
3 1 -1, 43.99, 2.058, 648
5 1 1, 62.55, 1.485, 235
1 1 -3, 64.79, 1.439, 211
2 2 -2, 77.71, 1.229, 145

Calculated X-ray diffraction stick pattern of Ac4PrHo2 for Cu Kα (λ = 1.5418 Å), from a structure optimized by DFT (PBE).

Structure:
```
data_Ac4PrHo2
_chemical_formula_sum 'Ac16 Pr4 Ho8'
_symmetry_space_group_name_H-M 'C 1 c 1'
_symmetry_Int_Tables_number 9
_cell_length_a 6.749
_cell_length_b 12.905
_cell_length_c 13.220
_cell_angle_alpha 90.00
_cell_angle_beta 104.76
_cell_angle_gamma 90.00
loop_
_symmetry_equiv_pos_as_xyz
'x,y,z'
'x,-y,z+1/2'
'x+1/2,y+1/2,z'
'x+1/2,-y+1/2,z+1/2'
loop_
_atom_site_label
_atom_site_type_symbol
_atom_site_fract_x
_atom_site_fract_y
_atom_site_fract_z
Ac1 Ac 0.000 0.064 0.000
Ac2 Ac 0.057 0.426 0.651
Ac3 Ac 0.194 0.327 0.932
Ac4 Ac 0.286 0.188 0.582
Pr1 Pr 0.126 0.125 0.291
Ho1 Ho 0.384 0.350 0.227
Ho2 Ho 0.449 0.103 0.857
```

Top 12 peaks for 2θ from 15° to 90°, in order of rising 2θ:
h k l, 2theta, d/Å, intensity
1 1 3, 28.59, 3.123, 1000
1 1 -4, 28.64, 3.117, 547
2 2 -1, 29.88, 2.990, 729
1 3 2, 30.21, 2.959, 398
2 2 -2, 30.71, 2.912, 314
1 3 3, 34.86, 2.574, 304
1 5 -3, 41.41, 2.181, 174
3 1 2, 48.02, 1.895, 252
2 6 -2, 50.84, 1.796, 147
0 2 7, 52.04, 1.757, 160
2 0 6, 57.37, 1.606, 166
2 4 5, 58.69, 1.573, 147

Calculated X-ray diffraction stick pattern of Nd7Sm2Er2 for Cu Kα (λ = 1.5418 Å), from a structure optimized by DFT (PBE).

Structure:
```
data_Nd7Sm2Er2
_chemical_formula_sum 'Nd28 Sm8 Er8'
_symmetry_space_group_name_H-M 'C 1 2/c 1'
_symmetry_Int_Tables_number 15
_cell_length_a 16.133
_cell_length_b 6.375
_cell_length_c 15.843
_cell_angle_alpha 90.00
_cell_angle_beta 111.62
_cell_angle_gamma 90.00
loop_
_symmetry_equiv_pos_as_xyz
'x,y,z'
'-x,-y,-z'
'-x,y,-z+1/2'
'x,-y,z+1/2'
'x+1/2,y+1/2,z'
'-x+1/2,-y+1/2,-z'
'-x+1/2,y+1/2,-z+1/2'
'x+1/2,-y+1/2,z+1/2'
loop_
_atom_site_label
_atom_site_type_symbol
_atom_site_fract_x
_atom_site_fract_y
_atom_site_fract_z
Nd1 Nd 0.000 0.170 0.250
Nd2 Nd 0.048 0.334 0.659
Nd3 Nd 0.093 0.166 0.070
Nd4 Nd 0.182 0.165 0.885
Sm1 Sm 0.138 0.333 0.478
Er1 Er 0.228 0.333 0.295
```

Top 12 peaks for 2θ from 15° to 90°, in order of rising 2θ:
h k l, 2theta, d/Å, intensity
3 1 -4, 27.98, 3.188, 235
4 0 2, 30.48, 2.933, 251
2 2 1, 31.95, 2.801, 1000
7 1 -2, 41.80, 2.161, 54
1 1 6, 41.87, 2.157, 106
6 0 -8, 49.52, 1.841, 196
6 2 3, 55.07, 1.668, 142
3 1 7, 55.15, 1.665, 71
1 3 6, 59.28, 1.559, 190
8 2 -7, 60.11, 1.539, 55
4 2 -9, 60.17, 1.538, 109
5 5 -3, 81.53, 1.181, 92

Calculated X-ray diffraction stick pattern of Tb12Ho5Th for Cu Kα (λ = 1.5418 Å), from a structure optimized by DFT (PBE).

Structure:
```
data_Tb12Ho5Th
_chemical_formula_sum 'Tb24 Ho10 Th2'
_symmetry_space_group_name_H-M 'C m m m'
_symmetry_Int_Tables_number 65
_symmetry_space_group_name_Hall '-C 2 2'
_cell_length_a 15.067
_cell_length_b 15.071
_cell_length_c 5.028
_cell_angle_alpha 90.00
_cell_angle_beta 90.00
_cell_angle_gamma 90.00
loop_
_atom_site_label
_atom_site_type_symbol
_atom_site_fract_x
_atom_site_fract_y
_atom_site_fract_z
Tb1 Tb 0.165 0.000 0.000
Tb2 Tb 0.166 0.166 0.500
Tb3 Tb 0.166 0.334 0.000
Tb4 Tb 0.166 0.500 0.500
Ho1 Ho 0.000 0.165 0.000
Ho2 Ho 0.000 0.333 0.500
Ho3 Ho 0.000 0.500 0.000
Th1 Th 0.000 0.000 0.500
```

Top 8 peaks for 2θ from 15° to 90°, in order of rising 2θ:
h k l, 2theta, d/Å, intensity
3 3 1, 30.82, 2.901, 1000
6 0 0, 35.74, 2.512, 506
6 6 0, 51.44, 1.776, 361
3 9 1, 61.18, 1.515, 429
6 6 2, 64.21, 1.450, 124
0 0 4, 75.72, 1.256, 58
9 3 3, 83.95, 1.153, 179
6 0 4, 86.66, 1.124, 167

Calculated X-ray diffraction stick pattern of SmNiGe2Pt5 for Cu Kα (λ = 1.5418 Å), from a structure optimized by DFT (PBE).

Structure:
```
data_SmNiGe2Pt5
_chemical_formula_sum 'Sm1 Ni1 Ge2 Pt5'
_symmetry_space_group_name_H-M 'P 4/m m m'
_symmetry_Int_Tables_number 123
_symmetry_space_group_name_Hall '-P 4 2'
_cell_length_a 4.095
_cell_length_b 4.095
_cell_length_c 9.483
_cell_angle_alpha 90.00
_cell_angle_beta 90.00
_cell_angle_gamma 90.00
loop_
_atom_site_label
_atom_site_type_symbol
_atom_site_fract_x
_atom_site_fract_y
_atom_site_fract_z
Sm1 Sm 0.000 0.000 0.000
Ni1 Ni 0.000 0.000 0.500
Ge1 Ge 0.500 0.500 0.376
Pt1 Pt 0.000 0.500 0.232
Pt2 Pt 0.500 0.500 0.000
```

Top 12 peaks for 2θ from 15° to 90°, in order of rising 2θ:
h k l, 2theta, d/Å, intensity
0 0 2, 18.71, 4.741, 110
1 1 2, 36.35, 2.471, 1000
0 0 4, 37.95, 2.371, 149
1 1 3, 42.33, 2.135, 199
2 0 0, 44.23, 2.048, 394
1 1 4, 49.71, 1.834, 64
2 0 4, 59.67, 1.550, 162
2 2 0, 64.34, 1.448, 133
2 0 5, 67.29, 1.391, 80
1 1 6, 67.52, 1.387, 125
3 1 2, 76.21, 1.249, 236
2 2 4, 77.20, 1.236, 77

Calculated X-ray diffraction stick pattern of Ca3YH8 for Cu Kα (λ = 1.5418 Å), from a structure optimized by DFT (PBE).

Structure:
```
data_Ca3YH8
_chemical_formula_sum 'Ca3 Y1 H8'
_symmetry_space_group_name_H-M 'P m -3 m'
_symmetry_Int_Tables_number 221
_symmetry_space_group_name_Hall '-P 4 2 3'
_cell_length_a 5.331
_cell_length_b 5.331
_cell_length_c 5.331
_cell_angle_alpha 90.00
_cell_angle_beta 90.00
_cell_angle_gamma 90.00
loop_
_atom_site_label
_atom_site_type_symbol
_atom_site_fract_x
_atom_site_fract_y
_atom_site_fract_z
Ca1 Ca 0.000 0.000 0.500
Y1 Y 0.500 0.500 0.500
H1 H 0.256 0.256 0.256
```

Top 12 peaks for 2θ from 15° to 90°, in order of rising 2θ:
h k l, 2theta, d/Å, intensity
1 0 0, 16.63, 5.331, 139
1 1 0, 23.60, 3.770, 121
1 1 1, 29.01, 3.078, 1000
2 0 0, 33.62, 2.666, 445
2 1 0, 37.73, 2.384, 71
2 1 1, 41.49, 2.176, 55
2 2 0, 48.29, 1.885, 362
3 1 1, 57.32, 1.607, 388
2 2 2, 60.12, 1.539, 105
4 0 0, 70.68, 1.333, 52
3 3 1, 78.15, 1.223, 146
4 2 0, 80.59, 1.192, 130

Calculated X-ray diffraction stick pattern of Ga6NiRh for Cu Kα (λ = 1.5418 Å), from a structure optimized by DFT (PBE).

Structure:
```
data_Ga6NiRh
_chemical_formula_sum 'Ga12 Ni2 Rh2'
_symmetry_space_group_name_H-M 'C 1 2/m 1'
_symmetry_Int_Tables_number 12
_cell_length_a 5.511
_cell_length_b 8.159
_cell_length_c 6.454
_cell_angle_alpha 90.00
_cell_angle_beta 108.55
_cell_angle_gamma 90.00
loop_
_symmetry_equiv_pos_as_xyz
'x,y,z'
'-x,-y,-z'
'-x,y,-z'
'x,-y,z'
'x+1/2,y+1/2,z'
'-x+1/2,-y+1/2,-z'
'-x+1/2,y+1/2,-z'
'x+1/2,-y+1/2,z'
loop_
_atom_site_label
_atom_site_type_symbol
_atom_site_fract_x
_atom_site_fract_y
_atom_site_fract_z
Ga1 Ga 0.131 0.199 0.288
Ga2 Ga 0.181 0.500 0.183
Ni1 Ni 0.000 0.000 0.000
Rh1 Rh 0.000 0.500 0.500
```

Top 12 peaks for 2θ from 15° to 90°, in order of rising 2θ:
h k l, 2theta, d/Å, intensity
1 1 1, 27.97, 3.190, 473
1 1 -2, 30.80, 2.903, 364
2 0 -1, 32.71, 2.738, 435
0 2 2, 36.72, 2.448, 516
1 3 0, 37.27, 2.412, 444
2 0 1, 41.69, 2.166, 484
1 3 1, 42.24, 2.140, 1000
2 2 -2, 43.78, 2.068, 662
0 4 0, 44.41, 2.040, 300
0 2 3, 50.00, 1.824, 297
3 1 -1, 50.99, 1.791, 285
1 3 -3, 54.45, 1.685, 336